The following is a simulated XRD peak list of Ho12Al5Zn2. It was derived from a DFT-relaxed cell (PBE, Alexandria), using Cu Kα (λ = 1.5418 Å).

Cell and atoms:
```
Ho12Al5Zn2
1.0
7.4526 -4.1961 0.0000
7.4526 4.1961 0.0000
-0.5122 0.0000 8.0018
Ho Al Zn
12 5 2
Direct
0.0384 0.0384 0.2072
0.0814 0.6313 0.0903
0.1418 0.5225 0.6471
0.3687 0.9186 0.9097
0.4483 0.4483 0.3390
0.4775 0.8582 0.3529
0.5225 0.1418 0.6471
0.5517 0.5517 0.6610
0.6313 0.0814 0.0903
0.8582 0.4775 0.3529
0.9186 0.3687 0.9097
0.9616 0.9616 0.7928
0.1453 0.1453 0.5737
0.2452 0.2452 0.2409
0.5000 0.5000 0.0000
0.7548 0.7548 0.7591
0.8547 0.8547 0.4263
0.1901 0.8099 0.5000
0.8099 0.1901 0.5000
```

The 10 most intense peaks (5° ≤ 2θ ≤ 70°), in order of falling intensity:
2θ 33.7, d 2.657, rel. 100.0
2θ 24.4, d 3.655, rel. 53.4
2θ 38.3, d 2.351, rel. 46.0
2θ 34.6, d 2.595, rel. 44.5
2θ 32.2, d 2.783, rel. 40.7
2θ 33.9, d 2.641, rel. 40.5
2θ 24.6, d 3.621, rel. 36.1
2θ 35.5, d 2.531, rel. 34.8
2θ 33.2, d 2.697, rel. 29.5
2θ 32.7, d 2.742, rel. 28.5